[1]
The following is a computed powder XRD pattern of Ba2YMn3O7. It was derived from a crystal structure in the Materials Project, relaxed with GGA+U, using Cu Kα (weighted mean of Kα1 and Kα2).
Lines closer than 0.1° are merged.

Most intense lines, 10 to 90 degrees two-theta, sorted by position:
two_theta  d_spacing  I/Imax
31.48  2.842  91
31.58  2.833  95
32.10  2.788  100
39.11  2.303  34
44.34  2.043  32
55.78  1.648  40
56.77  1.622  38
56.97  1.616  33

Structure:
abc: 5.6698 5.6698 11.8661
angles: 90.00 90.00 92.22
Atoms (fractional coordinates):
Ba 0.0000 0.5000 0.1806
Ba 0.0000 0.5000 0.8194
Ba 0.5000 0.0000 0.1806
Ba 0.5000 0.0000 0.8194
Y 0.0000 0.5000 0.5000
Y 0.5000 0.0000 0.5000
Mn 0.0000 0.0000 0.0000
Mn 0.0000 0.0000 0.3453
Mn 0.0000 0.0000 0.6547
Mn 0.5000 0.5000 0.0000
Mn 0.5000 0.5000 0.3470
Mn 0.5000 0.5000 0.6530
O 0.0000 0.0000 0.1641
O 0.0000 0.0000 0.8359
O 0.2341 0.7659 0.0000
O 0.2502 0.2502 0.3813
O 0.2502 0.2502 0.6187
O 0.2500 0.7500 0.3796
O 0.2500 0.7500 0.6204
O 0.5000 0.5000 0.1700
O 0.5000 0.5000 0.8300
O 0.7500 0.2500 0.3796
O 0.7500 0.2500 0.6204
O 0.7498 0.7498 0.3813
O 0.7498 0.7498 0.6187
O 0.7659 0.2341 0.0000

***

[2]
The following is a computed powder XRD pattern of Li3Fe2OF5. It was derived from a crystal structure in the Materials Project, relaxed with GGA+U, using Cu Kα (weighted mean of Kα1 and Kα2).
Lines closer than 0.1° are merged.

Most intense lines, 10 to 90 degrees two-theta, sorted by position:
two_theta  d_spacing  I/Imax
18.48  4.801  29
20.75  4.281  15
23.21  3.832  100
37.88  2.375  32
42.09  2.147  43
42.24  2.140  83
60.45  1.531  12
61.17  1.515  34

Structure:
abc: 5.2614 5.2661 9.4915
angles: 100.76 100.64 108.83
Atoms (fractional coordinates):
Li 0.0000 0.0000 0.0000
Li 0.0742 0.5707 0.1461
Li 0.3284 0.3227 0.6464
Li 0.4096 0.9051 0.8050
Li 0.6478 0.6462 0.2925
Li 0.7511 0.2458 0.4890
Fe 0.2434 0.7469 0.4901
Fe 0.5734 0.0736 0.1467
Fe 0.8263 0.8265 0.6456
Fe 0.9033 0.4058 0.8029
O 0.0806 0.5779 0.6460
O 0.5790 0.0796 0.6484
F 0.1551 0.1411 0.8131
F 0.2121 0.7513 0.9841
F 0.3349 0.3111 0.1463
F 0.4106 0.8706 0.3097
F 0.5115 0.4983 0.4790
F 0.6594 0.6723 0.8170
F 0.7753 0.2350 0.9850
F 0.8111 0.8355 0.1466
F 0.8940 0.4337 0.3070
F 0.9819 0.9957 0.4753

***

[3]
The following is a computed powder XRD pattern of Li9Mn2Co5O16. It was derived from a crystal structure in the Materials Project, relaxed with GGA+U, using Cu Kα (weighted mean of Kα1 and Kα2).
Lines closer than 0.1° are merged.

Most intense lines, 10 to 90 degrees two-theta, sorted by position:
two_theta  d_spacing  I/Imax
18.28  4.854  100
35.19  2.550  15
35.62  2.520  15
36.68  2.450  13
42.66  2.119  29
42.99  2.104  29
44.52  2.035  26
47.34  1.920  9

Structure:
abc: 2.8937 5.1714 19.4536
angles: 91.79 92.94 91.51
Atoms (fractional coordinates):
Li 0.0000 0.0000 0.0000
Li 0.0501 0.6729 0.1207
Li 0.1889 0.0616 0.3707
Li 0.3121 0.4363 0.6209
Li 0.4611 0.8429 0.8896
Li 0.5584 0.1609 0.1178
Li 0.6864 0.5624 0.3712
Li 0.8160 0.9342 0.6223
Li 0.9486 0.3196 0.8788
Mn 0.3764 0.1224 0.7485
Mn 0.4980 0.4969 0.9985
Co 0.1230 0.3698 0.2478
Co 0.2502 0.7485 0.4984
Co 0.6233 0.8700 0.2474
Co 0.7509 0.2480 0.4981
Co 0.8779 0.6238 0.7493
O 0.0116 0.3540 0.0536
O 0.0773 0.0224 0.1902
O 0.1683 0.7207 0.3065
O 0.2047 0.4004 0.4414
O 0.2979 0.0989 0.5568
O 0.3529 0.7970 0.6940
O 0.3989 0.4454 0.8004
O 0.4675 0.1874 0.9403
O 0.5281 0.8039 0.0560
O 0.5788 0.5210 0.1919
O 0.6691 0.2184 0.3067
O 0.7091 0.8990 0.4419
O 0.7945 0.5982 0.5576
O 0.8608 0.2551 0.6913
O 0.8901 0.9901 0.8046
O 0.9825 0.6420 0.9419